# 1
Calculated powder XRD pattern of Ac2Si2Rh3 for Cu Kα, from a PBE-relaxed structure.
Kinematic intensities with the Lorentz-polarization factor, no thermal factor.

Crystal structure
Unit cell a=11.4847 b=3.8412 c=7.3198 alpha=90.00 beta=115.51 gamma=90.00
Space group C2/m (No. 12)
Inequivalent atoms, fractional coordinates:
Ac  0.1264  0.0000  0.2663 x4
Si  0.1475  0.0000  0.7298 x4
Rh  0.0000  0.5000  0.5000 x2
Rh  0.1481  0.5000  0.9254 x4

Peak list (12 most intense, 2θ = 10–90°, in order of rising 2θ)
index, 2θ (°), intensity
2 0 1, 26.03, 45
1 1 -1, 26.35, 39
1 1 1, 29.98, 47
3 1 -1, 33.12, 100
4 0 -2, 33.52, 38
1 1 -2, 33.97, 43
4 0 0, 34.62, 34
2 0 -3, 36.83, 71
1 1 2, 39.69, 54
0 2 0, 47.33, 30
5 1 -4, 59.59, 22
2 2 -3, 61.45, 31

# 2
Calculated powder XRD pattern of BSeS4 for Cu Kα, from a PBE-relaxed structure.
Kinematic intensities with the Lorentz-polarization factor, no thermal factor.

Crystal structure
Unit cell a=4.6353 b=8.7881 c=9.9261 alpha=90.00 beta=97.71 gamma=90.00
Space group P2/c (No. 13)
Inequivalent atoms, fractional coordinates:
B  0.0000  0.0000  0.0000 x2
Se  0.5000  0.3610  0.2500 x2
S  0.1790  0.4785  0.8228 x4
S  0.3148  0.0929  0.5413 x4

Peak list (12 most intense, 2θ = 10–90°, in order of rising 2θ)
index, 2θ (°), intensity
0 1 0, 10.07, 28
0 1 1, 13.51, 19
0 2 0, 20.21, 19
0 1 2, 20.70, 100
0 2 1, 22.16, 22
1 1 1, 24.64, 23
1 2 -1, 28.73, 43
0 1 3, 29.07, 13
1 1 2, 30.12, 22
1 1 -3, 32.98, 14
1 3 -2, 39.64, 13
1 3 -3, 44.33, 15

# 3
Calculated powder XRD pattern of Tb6DySe8 for Cu Kα, from a PBE-relaxed structure.
Kinematic intensities with the Lorentz-polarization factor, no thermal factor.

Crystal structure
Unit cell a=11.5418 b=11.5418 c=11.5418 alpha=90.00 beta=90.00 gamma=90.00
Space group Fm-3m (No. 225)
Inequivalent atoms, fractional coordinates:
Tb  0.0000  0.2500  0.2500 x24
Dy  0.0000  0.0000  0.0000 x4
Se  0.0000  0.0000  0.2525 x24
Se  0.2500  0.2500  0.2500 x8

Peak list (12 most intense, 2θ = 10–90°, in order of rising 2θ)
index, 2θ (°), intensity
1 1 1, 13.29, 8
2 0 0, 15.35, 4
2 2 0, 21.78, 4
3 1 1, 25.60, 6
2 2 2, 26.76, 14
4 0 0, 30.99, 100
4 4 0, 44.40, 74
6 2 2, 52.60, 7
4 4 4, 55.13, 26
8 0 0, 64.60, 12
8 4 0, 73.37, 33
8 4 4, 81.75, 25

# 4
Calculated powder XRD pattern of La7Co2Pb3 for Cu Kα, from a PBE-relaxed structure.
Kinematic intensities with the Lorentz-polarization factor, no thermal factor.

Crystal structure
Unit cell a=5.2982 b=27.2089 c=5.0749 alpha=90.00 beta=90.00 gamma=90.00
Space group Cmmm (No. 65)
Inequivalent atoms, fractional coordinates:
La  0.0000  0.0000  0.0000 x2
La  0.0000  0.0966  0.5000 x4
La  0.0000  0.2086  0.0000 x4
La  0.0000  0.3955  0.0000 x4
Co  0.0000  0.1030  0.0000 x4
Pb  0.0000  0.3085  0.5000 x4
Pb  0.0000  0.5000  0.5000 x2

Peak list (12 most intense, 2θ = 10–90°, in order of rising 2θ)
index, 2θ (°), intensity
1 5 1, 29.38, 100
0 10 0, 32.92, 23
2 0 0, 33.84, 25
0 0 2, 35.37, 22
2 10 0, 47.93, 16
0 10 2, 49.09, 15
2 0 2, 49.76, 17
1 15 1, 56.62, 12
3 5 1, 57.82, 15
1 5 3, 59.86, 15
2 10 2, 60.96, 16
4 10 0, 80.63, 10

# 5
Calculated powder XRD pattern of Rb3H4Se4 for Cu Kα, from a PBE-relaxed structure.
Kinematic intensities with the Lorentz-polarization factor, no thermal factor.

Crystal structure
Unit cell a=4.9298 b=5.1399 c=12.7516 alpha=101.62 beta=98.99 gamma=90.04
Space group P1 (No. 1)
Inequivalent atoms, fractional coordinates:
Rb  0.0000  0.0000  0.0000 x1
Rb  0.2327  0.8226  0.6438 x1
Rb  0.7655  0.1772  0.3556 x1
H  0.0466  0.6333  0.2674 x1
H  0.4814  0.6010  0.2032 x1
H  0.5167  0.3987  0.7961 x1
H  0.9514  0.3665  0.7319 x1
Se  0.2754  0.6808  0.3632 x1
Se  0.3313  0.4426  0.8841 x1
Se  0.6664  0.5570  0.1151 x1
Se  0.7227  0.3190  0.6361 x1

Peak list (12 most intense, 2θ = 10–90°, in order of rising 2θ)
index, 2θ (°), intensity
0 0 3, 21.62, 35
1 0 2, 25.04, 25
1 1 0, 25.88, 100
1 1 -2, 26.27, 42
0 0 4, 28.97, 28
-1 1 2, 29.34, 73
0 1 -4, 30.77, 20
0 2 -1, 34.91, 42
2 0 0, 36.94, 16
1 1 3, 38.13, 19
2 -1 2, 44.11, 24
-1 3 1, 59.21, 17

# 6
Calculated powder XRD pattern of NaTlCdI4 for Cu Kα, from a PBE-relaxed structure.
Kinematic intensities with the Lorentz-polarization factor, no thermal factor.

Crystal structure
Unit cell a=7.9047 b=8.3738 c=9.3015 alpha=90.00 beta=105.99 gamma=90.00
Space group P2_1/m (No. 11)
Inequivalent atoms, fractional coordinates:
Na  0.2348  0.2500  0.0689 x2
Tl  0.2083  0.2500  0.5476 x2
Cd  0.2422  0.7500  0.8214 x2
I  0.0059  0.5050  0.2326 x4
I  0.4461  0.7500  0.6183 x2
I  0.4733  0.7500  0.1097 x2

Peak list (12 most intense, 2θ = 10–90°, in order of rising 2θ)
index, 2θ (°), intensity
1 1 -1, 16.82, 39
0 2 0, 21.22, 41
1 2 0, 24.27, 99
1 0 2, 25.75, 46
1 1 2, 27.91, 100
2 1 -2, 28.38, 99
0 2 2, 29.22, 49
1 2 -2, 29.38, 39
1 0 -4, 38.73, 49
3 2 0, 41.68, 43
2 3 -2, 41.89, 41
0 4 0, 43.22, 39

# 7
Calculated powder XRD pattern of Tl3H2Pd9 for Cu Kα, from a PBE-relaxed structure.
Kinematic intensities with the Lorentz-polarization factor, no thermal factor.

Crystal structure
Unit cell a=5.8094 b=5.8094 c=7.1290 alpha=90.00 beta=90.00 gamma=120.00
Space group P-3m1 (No. 164)
Inequivalent atoms, fractional coordinates:
Tl  0.0000  0.0000  0.0000 x1
Tl  0.3333  0.6667  0.3362 x2
H  0.3333  0.6667  0.8320 x2
Pd  0.0000  0.5000  0.0000 x3
Pd  0.1656  0.3312  0.6661 x6

Peak list (12 most intense, 2θ = 10–90°, in order of rising 2θ)
index, 2θ (°), intensity
0 1 1, 21.62, 9
1 1 0, 30.76, 8
2 0 1, 37.91, 100
0 2 2, 44.06, 49
1 2 1, 49.59, 4
2 1 2, 54.68, 3
2 2 0, 64.07, 32
1 3 2, 72.75, 2
2 2 3, 76.91, 28
0 4 1, 76.98, 9
0 0 6, 80.91, 3
4 0 2, 81.08, 8

# 8
Calculated powder XRD pattern of Zr3Ga3Co2 for Cu Kα, from a PBE-relaxed structure.
Kinematic intensities with the Lorentz-polarization factor, no thermal factor.

Crystal structure
Unit cell a=4.0793 b=9.8560 c=13.4211 alpha=90.00 beta=90.00 gamma=90.00
Space group Cmcm (No. 63)
Inequivalent atoms, fractional coordinates:
Zr  0.0000  0.0702  0.1126 x8
Zr  0.0000  0.3454  0.2500 x4
Ga  0.0000  0.3611  0.7500 x4
Ga  0.0000  0.3677  0.0337 x8
Co  0.0000  0.2013  0.6105 x8

Peak list (12 most intense, 2θ = 10–90°, in order of rising 2θ)
index, 2θ (°), intensity
1 3 0, 35.07, 19
1 3 1, 35.72, 22
1 1 4, 35.83, 100
0 4 0, 36.46, 14
0 4 1, 37.10, 20
1 3 3, 40.62, 45
0 4 3, 41.86, 14
2 0 0, 44.42, 41
1 3 4, 44.53, 32
2 4 3, 62.71, 13
1 7 0, 70.79, 16
3 1 4, 76.14, 12

# 9
Calculated powder XRD pattern of LaTb8Dy2 for Cu Kα, from a PBE-relaxed structure.
Kinematic intensities with the Lorentz-polarization factor, no thermal factor.

Crystal structure
Unit cell a=18.1289 b=7.1481 c=5.9800 alpha=90.00 beta=107.59 gamma=90.00
Space group C2/m (No. 12)
Inequivalent atoms, fractional coordinates:
La  0.0000  0.0000  0.0000 x2
Tb  0.0109  0.5000  0.2505 x4
Tb  0.1310  0.2312  0.6493 x8
Tb  0.2012  0.0000  0.2209 x4
Dy  0.1898  0.5000  0.1782 x4

Peak list (12 most intense, 2θ = 10–90°, in order of rising 2θ)
index, 2θ (°), intensity
4 0 1, 29.49, 88
2 2 -1, 29.65, 71
2 0 -2, 29.90, 51
6 0 -1, 30.24, 74
6 0 0, 31.05, 30
0 0 2, 31.39, 30
4 2 0, 32.51, 100
2 2 1, 32.87, 64
4 2 -1, 33.30, 40
0 4 0, 51.11, 28
10 2 -2, 59.43, 48
6 4 -1, 60.54, 30

# 10
Calculated powder XRD pattern of Pm2Ho12Tm5 for Cu Kα, from a PBE-relaxed structure.
Kinematic intensities with the Lorentz-polarization factor, no thermal factor.

Crystal structure
Unit cell a=6.1114 b=9.3370 c=11.1375 alpha=90.04 beta=100.58 gamma=109.10
Space group P-1 (No. 2)
Inequivalent atoms, fractional coordinates:
Pm  0.2099  0.4737  0.4198 x2
Ho  0.0525  0.3678  0.1036 x2
Ho  0.1058  0.7386  0.2091 x2
Ho  0.1581  0.1041  0.3149 x2
Ho  0.3141  0.2085  0.6328 x2
Ho  0.3693  0.5796  0.7394 x2
Ho  0.4204  0.9476  0.8430 x2
Tm  0.0000  0.0000  0.0000 x1
Tm  0.2652  0.8442  0.5265 x2
Tm  0.4734  0.3151  0.9475 x2

Peak list (12 most intense, 2θ = 10–90°, in order of rising 2θ)
index, 2θ (°), intensity
2 0 -1, 31.06, 100
1 2 2, 36.02, 51
3 -1 2, 51.84, 30
0 1 6, 51.94, 6
3 2 1, 61.67, 32
2 1 5, 61.76, 11
4 0 -2, 64.70, 6
2 -2 6, 64.82, 6
4 -6 0, 76.37, 4
5 -1 1, 84.67, 10
4 -2 5, 84.77, 4
5 -4 2, 87.44, 13